The following is a simulated powder diffraction line list of MgTeH12O9. It was derived from DFT lattice parameters and positions (GGA-PBE), using CuKα.
Lines closer than 0.1° are merged.

Principal peaks in the range 2θ = 10–80°, by angle:
| two_theta | d/Å | intensity |
| --- | --- | --- |
| 11.91 | 7.429 | 100.0 |
| 12.33 | 7.177 | 63.7 |
| 13.20 | 6.705 | 94.7 |
| 18.21 | 4.873 | 23.0 |
| 20.15 | 4.406 | 34.5 |
| 20.41 | 4.351 | 26.8 |
| 20.94 | 4.243 | 29.4 |
| 23.08 | 3.854 | 46.0 |
| 24.78 | 3.593 | 50.4 |
| 27.35 | 3.261 | 23.5 |

Cell and atoms:
```
MgTeH12O9
1.0
4.9846 0.0000 0.0000
1.3675 7.8594 0.0000
1.5218 3.3166 7.4295
Mg Te H O
1 1 12 9
Cartesian
0.0000 0.0000 0.0000 Mg
4.9186 5.8604 5.4390 Te
2.6600 4.4911 5.2565 H
3.6785 8.9811 6.4543 H
2.9173 6.4615 1.4701 H
2.6022 4.3605 1.8246 H
2.9380 4.9508 3.2318 H
3.8636 7.7726 1.1723 H
3.4712 2.0006 1.2365 H
5.4957 8.3248 2.3905 H
5.9030 9.0799 4.3220 H
4.5968 1.7462 3.7885 H
6.2002 7.1864 7.2039 H
7.0909 8.7048 6.2822 H
2.8081 9.4200 6.4436 O
2.4867 5.1769 2.3724 O
3.0410 7.2552 0.8533 O
3.8483 5.8971 7.1906 O
3.5708 4.4537 4.8328 O
3.1815 2.9572 0.8819 O
5.2115 8.4604 1.4724 O
6.0550 7.4594 6.2712 O
6.1671 4.5971 6.0009 O
```

The following is a simulated powder diffraction line list of Rb3MgH5. It was derived from DFT lattice parameters and positions (GGA-PBE), using CuKα.
Lines closer than 0.1° are merged.

Principal peaks in the range 2θ = 10–80°, by angle:
| two_theta | d/Å | intensity |
| --- | --- | --- |
| 21.29 | 4.174 | 22.7 |
| 25.86 | 3.446 | 50.9 |
| 26.51 | 3.362 | 100.0 |
| 28.98 | 3.081 | 30.0 |
| 31.53 | 2.837 | 23.1 |
| 33.14 | 2.703 | 31.4 |
| 35.37 | 2.538 | 14.6 |
| 43.35 | 2.087 | 18.6 |
| 47.28 | 1.922 | 18.9 |
| 49.88 | 1.828 | 17.0 |

Cell and atoms:
```
Rb3MgH5
1.0
-4.0124 4.0124 6.1619
4.0124 -4.0124 6.1619
4.0124 4.0124 -6.1619
Rb Mg H
6 2 10
Cartesian
5.5014 1.4891 0.0000 Rb
0.0000 0.0000 3.0810 Rb
1.4891 2.5233 0.0000 Rb
2.5233 1.4891 6.1619 Rb
0.0000 0.0000 9.2429 Rb
-1.4891 2.5233 6.1619 Rb
4.0124 0.0000 3.0810 Mg
0.0000 4.0124 3.0810 Mg
0.0000 0.0000 0.0000 H
5.0485 -1.0362 1.9485 H
2.9762 -1.0362 4.2134 H
2.9762 1.0362 1.9485 H
5.0485 1.0362 4.2134 H
0.0000 0.0000 6.1619 H
-1.0362 2.9762 1.9485 H
1.0362 2.9762 4.2134 H
1.0362 5.0485 1.9485 H
-1.0362 5.0485 4.2134 H
```

The following is a simulated powder diffraction line list of Rb2MgH4. It was derived from DFT lattice parameters and positions (GGA-PBE), using CuKα.
Lines closer than 0.1° are merged.

Principal peaks in the range 2θ = 10–80°, by angle:
| two_theta | d/Å | intensity |
| --- | --- | --- |
| 19.24 | 4.614 | 28.1 |
| 23.66 | 3.760 | 78.6 |
| 25.66 | 3.472 | 25.2 |
| 26.78 | 3.330 | 40.2 |
| 26.88 | 3.317 | 100.0 |
| 27.60 | 3.232 | 97.7 |
| 27.89 | 3.199 | 70.7 |
| 39.05 | 2.307 | 30.5 |
| 46.88 | 1.938 | 33.0 |
| 48.41 | 1.880 | 36.5 |

Cell and atoms:
```
Rb2MgH4
1.0
8.2671 0.0000 0.0000
0.0000 6.3978 0.0000
0.0000 0.0000 11.2369
Rb Mg H
8 4 16
Cartesian
0.0566 1.5995 2.2459 Rb
1.3442 4.7984 4.6645 Rb
2.7894 1.5995 10.2829 Rb
4.0769 4.7984 7.8643 Rb
4.1902 1.5995 3.3726 Rb
5.4777 4.7984 0.9540 Rb
6.9229 1.5995 6.5725 Rb
8.2105 4.7984 8.9911 Rb
1.8789 4.7984 0.9020 Mg
2.2546 1.5995 6.5205 Mg
6.0125 4.7984 4.7165 Mg
6.3882 1.5995 10.3349 Mg
0.0393 4.7984 0.8890 H
1.5302 1.5995 4.8059 H
1.6145 0.0800 7.3638 H
1.6145 3.1189 7.3638 H
2.5191 3.2789 1.7454 H
2.5191 6.3178 1.7454 H
2.6033 4.7984 10.4243 H
4.0943 1.5995 6.5075 H
4.1729 4.7984 4.7295 H
5.6638 1.5995 0.8126 H
5.7480 0.0800 9.4916 H
5.7480 3.1189 9.4916 H
6.6527 3.2789 3.8731 H
6.6527 6.3178 3.8731 H
6.7369 4.7984 6.4311 H
8.2278 1.5995 10.3479 H
```

The following is a simulated powder diffraction line list of Rb3MgH5. It was derived from DFT lattice parameters and positions (GGA-PBE), using CuKα.
Lines closer than 0.1° are merged.

Principal peaks in the range 2θ = 10–80°, by angle:
| two_theta | d/Å | intensity |
| --- | --- | --- |
| 21.21 | 4.188 | 21.2 |
| 25.72 | 3.464 | 49.0 |
| 26.40 | 3.377 | 100.0 |
| 28.97 | 3.082 | 28.5 |
| 31.35 | 2.854 | 23.5 |
| 33.03 | 2.712 | 29.7 |
| 43.20 | 2.094 | 18.3 |
| 47.00 | 1.933 | 21.4 |
| 49.80 | 1.831 | 15.9 |
| 51.72 | 1.767 | 14.2 |

Cell and atoms:
```
Rb3MgH5
1.0
8.0716 0.0000 0.0000
0.0000 8.0716 0.0000
0.0000 0.0000 12.3289
Rb Mg H
12 4 20
Cartesian
0.5077 4.5435 3.0822 Rb
0.5077 7.5639 9.2467 Rb
2.0179 2.0179 0.1452 Rb
2.0179 2.0179 6.3096 Rb
3.5281 4.5435 9.2467 Rb
3.5281 7.5639 3.0822 Rb
4.5435 0.5077 9.2467 Rb
4.5435 3.5281 3.0822 Rb
6.0537 6.0537 6.0193 Rb
6.0537 6.0537 12.1838 Rb
7.5639 0.5077 3.0822 Rb
7.5639 3.5281 9.2467 Rb
2.0179 6.0537 0.0000 Mg
2.0179 6.0537 6.1645 Mg
6.0537 2.0179 0.0000 Mg
6.0537 2.0179 6.1645 Mg
0.7820 5.2527 11.1962 H
0.7820 6.8546 5.0317 H
1.2169 4.8178 7.2972 H
1.2169 7.2895 1.1328 H
2.0179 2.0179 3.3403 H
2.0179 2.0179 9.5048 H
2.8189 4.8178 1.1328 H
2.8189 7.2895 7.2972 H
3.2538 5.2527 5.0317 H
3.2538 6.8546 11.1962 H
4.8178 1.2169 1.1328 H
4.8178 2.8189 7.2972 H
5.2527 0.7820 5.0317 H
5.2527 3.2538 11.1962 H
6.0537 6.0537 2.8242 H
6.0537 6.0537 8.9886 H
6.8546 0.7820 11.1962 H
6.8546 3.2538 5.0317 H
7.2895 1.2169 7.2972 H
7.2895 2.8189 1.1328 H
```

The following is a simulated powder diffraction line list of Rb2MgH4. It was derived from DFT lattice parameters and positions (GGA-PBE), using CuKα.
Lines closer than 0.1° are merged.

Principal peaks in the range 2θ = 10–80°, by angle:
| two_theta | d/Å | intensity |
| --- | --- | --- |
| 16.90 | 5.246 | 22.1 |
| 19.70 | 4.507 | 23.9 |
| 21.64 | 4.106 | 56.8 |
| 24.46 | 3.639 | 100.0 |
| 29.43 | 3.035 | 15.5 |
| 29.56 | 3.022 | 31.1 |
| 39.72 | 2.269 | 28.4 |
| 41.62 | 2.170 | 18.3 |
| 44.59 | 2.032 | 15.5 |
| 46.86 | 1.939 | 17.0 |

Cell and atoms:
```
Rb2MgH4
1.0
8.8025 0.0000 0.0000
0.0000 8.2121 0.0000
0.0000 0.0000 10.4925
Rb Mg H
8 4 16
Cartesian
0.0761 2.0530 2.5884 Rb
2.1401 6.1591 3.5761 Rb
2.2611 2.0530 8.8224 Rb
4.3252 6.1591 7.8346 Rb
4.4773 2.0530 2.6579 Rb
6.5414 6.1591 1.6701 Rb
6.6624 2.0530 6.9164 Rb
8.7264 6.1591 7.9042 Rb
2.1430 6.1591 10.4338 Mg
2.2583 2.0530 5.1875 Mg
6.5442 6.1591 5.3050 Mg
6.6595 2.0530 0.0588 Mg
0.5839 6.1591 0.9242 H
0.7079 2.0530 6.1818 H
2.1452 4.8000 9.1293 H
2.1452 7.5182 9.1293 H
2.2560 0.6939 3.8830 H
2.2560 3.4121 3.8830 H
3.6933 6.1591 0.9356 H
3.8174 2.0530 6.1704 H
4.9851 6.1591 4.3221 H
5.1092 2.0530 9.5570 H
6.5465 4.8000 6.6095 H
6.5465 7.5182 6.6095 H
6.6573 0.6939 1.3632 H
6.6573 3.4121 1.3632 H
8.0945 6.1591 4.3107 H
8.2186 2.0530 9.5684 H
```

The following is a simulated powder diffraction line list of Rb2MgH4. It was derived from DFT lattice parameters and positions (GGA-PBE), using CuKα.
Lines closer than 0.1° are merged.

Principal peaks in the range 2θ = 10–80°, by angle:
| two_theta | d/Å | intensity |
| --- | --- | --- |
| 16.67 | 5.318 | 26.0 |
| 19.52 | 4.547 | 23.4 |
| 21.54 | 4.125 | 57.0 |
| 24.47 | 3.638 | 100.0 |
| 27.37 | 3.259 | 25.9 |
| 29.24 | 3.054 | 47.4 |
| 34.29 | 2.615 | 22.2 |
| 39.61 | 2.275 | 34.7 |
| 41.51 | 2.175 | 20.9 |
| 60.63 | 1.527 | 22.1 |

Cell and atoms:
```
Rb2MgH4
1.0
8.7703 0.0000 0.0000
0.0000 8.2496 0.0000
0.0000 0.0000 10.6360
Rb Mg H
8 4 16
Cartesian
0.0931 2.0624 2.5443 Rb
2.1377 2.0624 8.8623 Rb
2.2474 6.1872 3.5443 Rb
4.2921 6.1872 7.8623 Rb
4.4782 2.0624 2.7737 Rb
6.5229 2.0624 7.0918 Rb
6.6326 6.1872 1.7737 Rb
8.6772 6.1872 8.0917 Rb
2.1128 2.0624 5.1687 Mg
2.2724 6.1872 10.4867 Mg
6.4979 2.0624 0.1493 Mg
6.6575 6.1872 5.4673 Mg
0.4380 2.0624 5.9337 H
0.8210 6.1872 0.9782 H
2.1357 4.8162 9.1983 H
2.1357 7.5583 9.1983 H
2.2495 0.6914 3.8803 H
2.2495 3.4335 3.8803 H
3.5641 2.0624 6.2962 H
3.9471 6.1872 0.6157 H
4.8232 2.0624 10.0203 H
5.2062 6.1872 4.3398 H
6.5208 4.8162 6.7557 H
6.5208 7.5583 6.7557 H
6.6346 0.6914 1.4377 H
6.6346 3.4335 1.4377 H
7.9492 2.0624 9.6578 H
8.3323 6.1872 4.7023 H
```

The following is a simulated powder diffraction line list of RbMgH3. It was derived from DFT lattice parameters and positions (GGA-PBE), using CuKα.
Lines closer than 0.1° are merged.

Principal peaks in the range 2θ = 10–80°, by angle:
| two_theta | d/Å | intensity |
| --- | --- | --- |
| 21.27 | 4.178 | 27.4 |
| 25.43 | 3.503 | 50.1 |
| 30.15 | 2.964 | 100.0 |
| 30.36 | 2.944 | 65.8 |
| 39.84 | 2.263 | 16.9 |
| 43.32 | 2.089 | 25.9 |
| 48.88 | 1.863 | 12.9 |
| 50.76 | 1.799 | 15.5 |
| 53.54 | 1.711 | 19.2 |
| 53.68 | 1.708 | 25.6 |

Cell and atoms:
```
RbMgH3
1.0
5.9287 0.0000 0.0000
-2.9644 5.1344 0.0000
0.0000 0.0000 14.3728
Rb Mg H
6 6 18
Cartesian
0.0000 0.0000 3.5932 Rb
0.0000 0.0000 10.7796 Rb
0.0000 3.4229 1.3680 Rb
0.0000 3.4229 5.8184 Rb
2.9644 1.7115 8.5545 Rb
2.9644 1.7115 13.0048 Rb
0.0000 0.0000 0.0000 Mg
0.0000 0.0000 7.1864 Mg
0.0000 3.4229 9.4027 Mg
0.0000 3.4229 12.1565 Mg
2.9644 1.7115 2.2163 Mg
2.9644 1.7115 4.9701 Mg
-1.2714 2.6889 10.7796 H
0.0000 1.7031 8.3342 H
0.0000 1.7031 13.2250 H
-1.4895 4.2829 8.3342 H
-1.4895 4.2829 13.2250 H
1.4749 0.8515 1.1478 H
1.4749 0.8515 6.0386 H
1.2714 2.6889 10.7796 H
0.0000 4.8910 10.7796 H
2.9644 0.2434 3.5932 H
1.6930 2.4455 3.5932 H
1.4895 4.2829 8.3342 H
1.4895 4.2829 13.2250 H
4.4538 0.8515 1.1478 H
4.4538 0.8515 6.0386 H
2.9644 3.4313 1.1478 H
2.9644 3.4313 6.0386 H
4.2357 2.4455 3.5932 H
```

The following is a simulated powder diffraction line list of Rb2MgH4. It was derived from DFT lattice parameters and positions (GGA-PBE), using CuKα.
Lines closer than 0.1° are merged.

Principal peaks in the range 2θ = 10–80°, by angle:
| two_theta | d/Å | intensity |
| --- | --- | --- |
| 13.83 | 6.402 | 42.9 |
| 17.70 | 5.012 | 61.3 |
| 19.87 | 4.468 | 100.0 |
| 21.77 | 4.082 | 42.1 |
| 24.33 | 3.658 | 62.2 |
| 24.48 | 3.636 | 65.3 |
| 28.22 | 3.162 | 31.4 |
| 28.38 | 3.145 | 57.0 |
| 30.25 | 2.955 | 30.1 |
| 32.88 | 2.724 | 30.9 |

Cell and atoms:
```
Rb2MgH4
1.0
10.8324 0.0000 0.0000
0.0000 7.3163 0.0000
0.0000 0.0000 13.2220
Rb Mg H
8 4 16
Cartesian
0.7394 1.8291 2.4313 Rb
1.2763 5.4872 5.8279 Rb
4.1399 1.8291 12.4389 Rb
4.6768 5.4872 9.0423 Rb
6.1556 1.8291 4.1798 Rb
6.6925 5.4872 0.7831 Rb
9.5561 1.8291 7.3941 Rb
10.0930 5.4872 10.7908 Rb
2.4603 1.8291 5.6522 Mg
2.9559 5.4872 12.2632 Mg
7.8765 1.8291 0.9588 Mg
8.3721 5.4872 7.5699 Mg
1.1559 5.4872 12.6386 H
1.3967 1.8291 7.1701 H
1.9388 0.4120 4.5336 H
1.9388 3.2462 4.5336 H
3.4774 4.0702 11.1446 H
3.4774 6.9043 11.1446 H
4.0195 5.4872 0.5591 H
4.2603 1.8291 6.0275 H
6.5721 5.4872 7.1945 H
6.8129 1.8291 12.6629 H
7.3550 0.4120 2.0774 H
7.3550 3.2462 2.0774 H
8.8936 4.0702 8.6885 H
8.8936 6.9043 8.6885 H
9.4357 5.4872 6.0519 H
9.6765 1.8291 0.5835 H
```